(1)
This entry pairs a crystal structure of Sm2Ga4Au3 with its simulated powder XRD pattern. Radiation: a wavelength of 1.5418 Å. Structure: a GGA-PBE-relaxed structure.

Atomic structure:
```
18
Lattice="2.987 -7.797 0.000 2.987 7.797 0.000 0.000 0.000 7.800" Properties=species:S:1:pos:R:3 pbc="T T T"
Sm 2.987 6.112 7.099
Sm 2.987 1.685 3.199
Sm 2.987 -1.685 4.601
Sm 2.987 -6.112 0.701
Ga 2.987 5.054 4.071
Ga 1.493 0.944 5.850
Ga 1.493 -0.944 1.950
Ga 2.987 2.743 0.171
Ga 2.987 -2.743 7.628
Ga 4.480 0.944 5.850
Ga 4.480 -0.944 1.950
Ga 2.987 -5.054 3.728
Au 0.000 0.000 3.900
Au 1.493 3.588 5.850
Au 1.493 -3.588 1.950
Au 2.987 0.000 0.000
Au 4.480 3.588 5.850
Au 4.480 -3.588 1.950
```

Main lines, in order of rising 2θ (10° ≤ 2θ ≤ 90°):
| d [Å] | 2θ/deg | I_rel |
| --- | --- | --- |
| 3.488 | 25.5 | 40 |
| 2.626 | 34.1 | 30 |
| 2.605 | 34.4 | 66 |
| 2.466 | 36.4 | 49 |
| 2.371 | 37.9 | 100 |
| 1.382 | 67.8 | 27 |



(2)
This entry pairs a crystal structure of LiAcNpO4 with its simulated powder XRD pattern. Radiation: a wavelength of 1.5418 Å. Structure: a GGA-PBE-relaxed structure.

Atomic structure:
```
14
Lattice="-3.420 3.918 5.267 3.420 -3.918 5.267 3.420 3.918 -5.267" Properties=species:S:1:pos:R:3 pbc="T T T"
Li 0.000 1.959 0.296
Li 3.420 1.959 4.970
Ac 3.420 0.000 0.000
Ac 0.000 0.000 5.267
Np 1.710 1.959 -2.633
Np 1.710 -1.959 2.633
O 3.420 -0.537 2.462
O 3.420 3.381 -2.462
O 1.799 1.959 -0.348
O 5.041 1.959 -0.348
O -1.621 1.959 5.614
O 1.621 1.959 5.614
O 0.000 0.537 7.729
O 0.000 4.455 2.804
```

Main lines, in order of rising 2θ (10° ≤ 2θ ≤ 90°):
| d [Å] | 2θ/deg | I_rel |
| --- | --- | --- |
| 6.287 | 14.1 | 100 |
| 5.737 | 15.4 | 62 |
| 3.236 | 27.6 | 33 |
| 3.144 | 28.4 | 47 |
| 2.868 | 31.2 | 37 |
| 2.577 | 34.8 | 45 |



(3)
This entry pairs a crystal structure of CaCd2Hg2 with its simulated powder XRD pattern. Radiation: a wavelength of 1.5418 Å. Structure: a GGA-PBE-relaxed structure.

Atomic structure:
```
15
Lattice="4.990 0.000 0.000 -2.495 4.322 0.000 0.000 0.000 17.420" Properties=species:S:1:pos:R:3 pbc="T T T"
Ca 0.000 0.000 0.000
Ca 0.000 2.881 11.613
Ca 2.495 1.441 5.807
Cd 0.000 0.000 3.563
Cd 0.000 0.000 13.857
Cd 0.000 2.881 8.050
Cd 0.000 2.881 15.176
Cd 2.495 1.441 2.244
Cd 2.495 1.441 9.369
Hg 0.000 0.000 7.116
Hg 0.000 0.000 10.304
Hg 0.000 2.881 1.309
Hg 0.000 2.881 4.498
Hg 2.495 1.441 12.922
Hg 2.495 1.441 16.111
```

Main lines, in order of rising 2θ (10° ≤ 2θ ≤ 90°):
| d [Å] | 2θ/deg | I_rel |
| --- | --- | --- |
| 4.195 | 21.2 | 35 |
| 2.712 | 33.0 | 100 |
| 2.495 | 36.0 | 83 |
| 1.836 | 49.6 | 32 |
| 1.616 | 57.0 | 18 |
| 1.479 | 62.8 | 31 |



(4)
This entry pairs a crystal structure of K2Tl3Sn2 with its simulated powder XRD pattern. Radiation: a wavelength of 1.5418 Å. Structure: a GGA-PBE-relaxed structure.

Atomic structure:
```
14
Lattice="13.028 0.000 0.000 0.000 4.811 0.000 -3.504 0.000 7.722" Properties=species:S:1:pos:R:3 pbc="T T T"
K 0.870 0.000 2.193
K 2.140 2.405 5.529
K 7.384 2.405 2.193
K 8.653 0.000 5.529
Tl -1.752 2.405 3.861
Tl -1.863 2.405 7.333
Tl 4.873 0.000 0.389
Tl 4.762 0.000 3.861
Tl 4.651 0.000 7.333
Tl 11.386 2.405 0.389
Sn -0.653 0.000 5.720
Sn 3.663 2.405 2.002
Sn 5.861 2.405 5.720
Sn 10.176 0.000 2.002
```

Main lines, in order of rising 2θ (10° ≤ 2θ ≤ 90°):
| d [Å] | 2θ/deg | I_rel |
| --- | --- | --- |
| 6.069 | 14.6 | 92 |
| 4.458 | 19.9 | 52 |
| 3.213 | 27.8 | 60 |
| 3.172 | 28.1 | 58 |
| 2.717 | 33.0 | 100 |
| 2.405 | 37.4 | 50 |